Diffraction record for RbInFeF6. The powder diffraction line list is simulated, not measured: it uses a GGA+U-relaxed structure and Cu Kα, 1.54184 Å.

Crystal structure
```
9
Lattice="5.702 0.000 0.000 2.823 4.960 0.000 0.007 0.017 5.972" Properties=species:S:1:pos:R:3 pbc="T T T"
Rb 0.000 0.000 0.000
In 2.842 1.666 2.987
Fe 5.698 3.316 2.986
F 1.764 3.059 4.152
F 3.914 3.057 1.822
F 5.017 4.971 4.132
F 6.345 4.951 1.865
F 4.643 1.894 4.094
F 6.766 1.880 1.858
```

The 10 most intense peaks (2θ = 10–80°), sorted by position:
2θ 14.8, intensity 30.3
2θ 23.3, intensity 100.0
2θ 23.4, intensity 19.9
2θ 31.2, intensity 11.3
2θ 31.4, intensity 22.7
2θ 34.9, intensity 9.9
2θ 39.4, intensity 15.7
2θ 43.8, intensity 25.6
2θ 43.9, intensity 32.2
2θ 55.6, intensity 11.4